No. 1
# Zn2FeCl
Computed powder XRD pattern, Cu Kα (weighted mean of Kα1 and Kα2). Input: DFT lattice parameters and positions (PBE).
Lines closer than 0.1° are merged.

Peak list (6 most intense, 2θ from 10° to 90°, in order of rising 2θ)
- 2θ = 11.03°, rel. 60
- 2θ = 38.01°, rel. 100
- 2θ = 43.66°, rel. 46
- 2θ = 45.93°, rel. 39
- 2θ = 74.81°, rel. 15
- 2θ = 76.42°, rel. 22

Structure:
```
Zn2FeCl
1.0
2.9318 0.0000 0.0000
0.0000 2.9318 0.0000
0.0000 0.0000 8.0247
Zn Fe Cl
2 1 1
direct
0.0000 0.0000 0.0000
0.5000 0.5000 0.2158
0.5000 0.5000 0.7852
0.0000 0.0000 0.6053
```


No. 2
# GaCl
Computed powder XRD pattern, Cu Kα (weighted mean of Kα1 and Kα2). Input: DFT lattice parameters and positions (PBE).
Lines closer than 0.1° are merged.

Peak list (6 most intense, 2θ from 10° to 90°, in order of rising 2θ)
- 2θ = 21.42°, rel. 82
- 2θ = 25.14°, rel. 44
- 2θ = 28.42°, rel. 24
- 2θ = 34.18°, rel. 100
- 2θ = 36.70°, rel. 25
- 2θ = 44.32°, rel. 46

Structure:
```
GaCl
1.0
6.7739 0.0000 0.0000
0.0000 10.2308 0.0000
0.0000 0.0000 7.0900
Ga Cl
8 8
direct
0.2084 0.1269 0.1996
0.2084 0.3731 0.6996
0.2916 0.6269 0.1996
0.2916 0.8731 0.6996
0.7084 0.1269 0.3004
0.7084 0.3731 0.8004
0.7916 0.6269 0.3004
0.7916 0.8731 0.8004
0.0028 0.1895 0.8938
0.0028 0.3105 0.3938
0.4972 0.6895 0.8938
0.4972 0.8105 0.3938
0.5028 0.1895 0.6062
0.5028 0.3105 0.1062
0.9972 0.6895 0.6062
0.9972 0.8105 0.1062
```


No. 3
# Ga3Cl7
Computed powder XRD pattern, Cu Kα (weighted mean of Kα1 and Kα2). Input: DFT lattice parameters and positions (PBE).
Lines closer than 0.1° are merged.

Peak list (6 most intense, 2θ from 10° to 90°, in order of rising 2θ)
- 2θ = 14.29°, rel. 61
- 2θ = 15.92°, rel. 100
- 2θ = 20.92°, rel. 38
- 2θ = 27.12°, rel. 34
- 2θ = 27.95°, rel. 38
- 2θ = 28.84°, rel. 57

Structure:
```
Ga3Cl7
1.0
12.7126 0.0000 0.0000
0.0000 9.0114 0.0000
0.0000 0.0000 11.5270
Ga Cl
12 28
direct
0.0958 0.1086 0.0000
0.1338 0.6141 0.0540
0.1724 0.0579 0.3045
0.3276 0.5579 0.8045
0.3662 0.1141 0.5540
0.4042 0.6086 0.5000
0.5958 0.3914 0.0000
0.6338 0.8859 0.0540
0.6724 0.4421 0.3045
0.8276 0.9421 0.8045
0.8662 0.3859 0.5540
0.9042 0.8914 0.5000
0.0251 0.7968 0.0888
0.0318 0.1693 0.2343
0.0588 0.4397 0.9517
0.1350 0.8697 0.4153
0.2194 0.5192 0.6615
0.2267 0.5394 0.1981
0.2491 0.2338 0.4234
0.2509 0.7338 0.9234
0.2733 0.0394 0.6981
0.2806 0.0192 0.1615
0.3650 0.3697 0.9153
0.4412 0.9397 0.4517
0.4682 0.6693 0.7343
0.4749 0.2968 0.5888
0.5251 0.7032 0.0888
0.5318 0.3307 0.2343
0.5588 0.0603 0.9517
0.6350 0.6303 0.4153
0.7194 0.9808 0.6615
0.7267 0.9606 0.1981
0.7491 0.2662 0.4234
0.7509 0.7662 0.9234
0.7733 0.4606 0.6981
0.7806 0.4808 0.1615
0.8650 0.1303 0.9153
0.9412 0.5603 0.4517
0.9682 0.8307 0.7343
0.9749 0.2032 0.5888
```